# 1
Diffraction record for Y5Si4. The XRD peak list is theoretical, not measured: it uses the PBE geometry in the Materials Project and CuKα.
Kinematic intensities with the Lorentz-polarization factor, no thermal factor.

Peak list (10 most intense, 2θ from 10° to 90°, sorted by position)
| (hkl) | 2theta | d/Å | intensity |
| --- | --- | --- | --- |
| 1 1 -2 | 26.9 | 3.309 | 356 |
| 3 2 -1 | 31.6 | 2.835 | 1000 |
| 3 2 1 | 32.4 | 2.763 | 480 |
| 3 1 2 | 33.2 | 2.700 | 579 |
| 4 2 0 | 33.8 | 2.650 | 996 |
| 4 2 -1 | 35.5 | 2.528 | 288 |
| 6 0 0 | 36.8 | 2.441 | 312 |
| 1 3 -1 | 37.6 | 2.395 | 294 |
| 0 1 3 | 38.0 | 2.369 | 716 |
| 4 3 -3 | 56.4 | 1.631 | 296 |

Atomic structure:
```
data_Y5Si4
_chemical_formula_sum 'Y20 Si16'
_cell_length_a 14.672
_cell_length_b 7.674
_cell_length_c 7.480
_cell_angle_alpha 90.00
_cell_angle_beta 93.35
_cell_angle_gamma 90.00
_space_group_name_H-M_alt 'P 1'
_space_group_IT_number 1
loop_
_space_group_symop_operation_xyz
'x,y,z'
loop_
_atom_site_label
_atom_site_fract_x
_atom_site_fract_y
_atom_site_fract_z
Y1 0.099 0.180 0.496
Y2 0.099 0.320 0.996
Y3 0.120 0.665 0.646
Y4 0.120 0.835 0.146
Y5 0.247 0.006 0.827
Y6 0.247 0.494 0.327
Y7 0.378 0.678 0.672
Y8 0.378 0.822 0.172
Y9 0.401 0.182 0.520
Y10 0.401 0.318 0.020
Y11 0.599 0.682 0.980
Y12 0.599 0.818 0.480
Y13 0.622 0.178 0.828
Y14 0.622 0.322 0.328
Y15 0.753 0.506 0.673
Y16 0.753 0.994 0.173
Y17 0.880 0.165 0.854
Y18 0.880 0.335 0.354
Y19 0.901 0.680 0.004
Y20 0.901 0.820 0.504
Si1 0.043 0.535 0.297
Si2 0.043 0.965 0.797
Si3 0.252 0.129 0.212
Si4 0.252 0.371 0.712
Si5 0.252 0.608 0.954
Si6 0.252 0.892 0.454
Si7 0.459 0.528 0.352
Si8 0.459 0.972 0.852
Si9 0.541 0.028 0.148
Si10 0.541 0.472 0.648
Si11 0.748 0.108 0.546
Si12 0.748 0.392 0.046
Si13 0.748 0.629 0.288
Si14 0.748 0.871 0.788
Si15 0.957 0.035 0.203
Si16 0.957 0.465 0.703
```

---

# 2
Diffraction record for Y3Si. The XRD peak list is theoretical, not measured: it uses the PBE geometry in the Materials Project and CuKα.
Kinematic intensities with the Lorentz-polarization factor, no thermal factor.

Peak list (10 most intense, 2θ from 10° to 90°, sorted by position)
| (hkl) | 2theta | d/Å | intensity |
| --- | --- | --- | --- |
| 1 0 0 | 19.0 | 4.668 | 126 |
| 1 1 0 | 27.0 | 3.301 | 109 |
| 1 1 1 | 33.2 | 2.695 | 1000 |
| 2 0 0 | 38.6 | 2.334 | 493 |
| 2 1 0 | 43.3 | 2.088 | 61 |
| 2 1 1 | 47.7 | 1.906 | 46 |
| 2 2 0 | 55.7 | 1.651 | 328 |
| 3 1 1 | 66.4 | 1.408 | 379 |
| 2 2 2 | 69.8 | 1.348 | 109 |
| 4 0 0 | 82.7 | 1.167 | 51 |

Atomic structure:
```
data_Y3Si
_chemical_formula_sum 'Y3 Si1'
_cell_length_a 4.668
_cell_length_b 4.668
_cell_length_c 4.668
_cell_angle_alpha 90.00
_cell_angle_beta 90.00
_cell_angle_gamma 90.00
_space_group_name_H-M_alt 'P 1'
_space_group_IT_number 1
loop_
_space_group_symop_operation_xyz
'x,y,z'
loop_
_atom_site_label
_atom_site_fract_x
_atom_site_fract_y
_atom_site_fract_z
Y1 0.000 0.000 0.500
Y2 0.000 0.500 0.000
Y3 0.500 0.000 0.000
Si1 0.500 0.500 0.500
```

---

# 3
Diffraction record for YZnSi. The XRD peak list is theoretical, not measured: it uses the PBE geometry in the Materials Project and CuKα.
Kinematic intensities with the Lorentz-polarization factor, no thermal factor.

Peak list (10 most intense, 2θ from 10° to 90°, sorted by position)
| (hkl) | 2theta | d/Å | intensity |
| --- | --- | --- | --- |
| 1 0 0 | 24.9 | 3.569 | 149 |
| 1 0 1 | 33.4 | 2.682 | 1000 |
| 1 1 0 | 43.9 | 2.061 | 392 |
| 0 0 2 | 44.6 | 2.033 | 125 |
| 1 0 2 | 51.7 | 1.767 | 40 |
| 2 0 1 | 56.3 | 1.634 | 214 |
| 1 1 2 | 64.4 | 1.447 | 240 |
| 2 1 1 | 74.0 | 1.280 | 182 |
| 1 0 3 | 74.9 | 1.267 | 88 |
| 3 0 0 | 80.8 | 1.190 | 62 |

Atomic structure:
```
data_YZnSi
_chemical_formula_sum 'Y1 Zn1 Si1'
_cell_length_a 4.121
_cell_length_b 4.121
_cell_length_c 4.066
_cell_angle_alpha 90.00
_cell_angle_beta 90.00
_cell_angle_gamma 120.00
_space_group_name_H-M_alt 'P 1'
_space_group_IT_number 1
loop_
_space_group_symop_operation_xyz
'x,y,z'
loop_
_atom_site_label
_atom_site_fract_x
_atom_site_fract_y
_atom_site_fract_z
Y1 0.000 0.000 0.000
Zn1 0.333 0.667 0.500
Si1 0.667 0.333 0.500
```

---

# 4
Diffraction record for Y4ZrSi3. The XRD peak list is theoretical, not measured: it uses the PBE geometry in the Materials Project and CuKα.
Kinematic intensities with the Lorentz-polarization factor, no thermal factor.

Peak list (10 most intense, 2θ from 10° to 90°, sorted by position)
| (hkl) | 2theta | d/Å | intensity |
| --- | --- | --- | --- |
| 2 0 0 | 24.6 | 3.624 | 256 |
| 1 1 1 | 25.7 | 3.469 | 322 |
| 1 0 2 | 31.4 | 2.850 | 424 |
| 2 1 0 | 32.7 | 2.739 | 482 |
| 2 1 1 | 35.8 | 2.506 | 1000 |
| 1 1 2 | 36.1 | 2.491 | 925 |
| 3 0 0 | 37.2 | 2.416 | 432 |
| 4 -2 2 | 52.8 | 1.734 | 257 |
| 2 1 3 | 55.7 | 1.650 | 257 |
| 4 0 2 | 59.0 | 1.564 | 270 |

Atomic structure:
```
data_Y4ZrSi3
_chemical_formula_sum 'Y8 Zr2 Si6'
_cell_length_a 8.369
_cell_length_b 8.369
_cell_length_c 6.200
_cell_angle_alpha 90.00
_cell_angle_beta 90.00
_cell_angle_gamma 120.00
_space_group_name_H-M_alt 'P 1'
_space_group_IT_number 1
loop_
_space_group_symop_operation_xyz
'x,y,z'
loop_
_atom_site_label
_atom_site_fract_x
_atom_site_fract_y
_atom_site_fract_z
Y1 0.000 0.246 0.243
Y2 0.000 0.754 0.757
Y3 0.246 0.000 0.243
Y4 0.246 0.246 0.757
Y5 0.333 0.667 0.500
Y6 0.667 0.333 0.500
Y7 0.754 0.000 0.757
Y8 0.754 0.754 0.243
Zr1 0.333 0.667 0.000
Zr2 0.667 0.333 0.000
Si1 0.000 0.398 0.776
Si2 0.000 0.602 0.224
Si3 0.398 0.000 0.776
Si4 0.398 0.398 0.224
Si5 0.602 0.000 0.224
Si6 0.602 0.602 0.776
```

---

# 5
Diffraction record for Zn3Si. The XRD peak list is theoretical, not measured: it uses the PBE geometry in the Materials Project and CuKα.
Kinematic intensities with the Lorentz-polarization factor, no thermal factor.

Peak list (10 most intense, 2θ from 10° to 90°, sorted by position)
| (hkl) | 2theta | d/Å | intensity |
| --- | --- | --- | --- |
| 0 0 2 | 22.5 | 3.953 | 32 |
| 1 0 1 | 25.3 | 3.519 | 98 |
| 1 1 2 | 39.6 | 2.273 | 1000 |
| 0 0 4 | 45.9 | 1.977 | 162 |
| 2 0 0 | 46.2 | 1.965 | 317 |
| 2 0 4 | 67.2 | 1.393 | 194 |
| 2 2 0 | 67.4 | 1.389 | 96 |
| 1 1 6 | 80.7 | 1.191 | 113 |
| 3 1 2 | 81.1 | 1.185 | 223 |
| 2 2 4 | 85.4 | 1.137 | 98 |

Atomic structure:
```
data_Zn3Si
_chemical_formula_sum 'Zn6 Si2'
_cell_length_a 3.930
_cell_length_b 3.930
_cell_length_c 7.906
_cell_angle_alpha 90.00
_cell_angle_beta 90.00
_cell_angle_gamma 90.00
_space_group_name_H-M_alt 'P 1'
_space_group_IT_number 1
loop_
_space_group_symop_operation_xyz
'x,y,z'
loop_
_atom_site_label
_atom_site_fract_x
_atom_site_fract_y
_atom_site_fract_z
Zn1 0.000 0.000 0.000
Zn2 0.000 0.500 0.250
Zn3 0.000 0.500 0.750
Zn4 0.500 0.000 0.250
Zn5 0.500 0.000 0.750
Zn6 0.500 0.500 0.500
Si1 0.000 0.000 0.500
Si2 0.500 0.500 0.000
```

---

# 6
Diffraction record for Zr5Si3. The XRD peak list is theoretical, not measured: it uses the PBE geometry in the Materials Project and CuKα.
Kinematic intensities with the Lorentz-polarization factor, no thermal factor.

Peak list (10 most intense, 2θ from 10° to 90°, sorted by position)
| (hkl) | 2theta | d/Å | intensity |
| --- | --- | --- | --- |
| 2 0 0 | 25.7 | 3.472 | 323 |
| 1 1 1 | 27.4 | 3.255 | 386 |
| 2 1 0 | 34.2 | 2.625 | 488 |
| 1 0 2 | 34.7 | 2.587 | 381 |
| 2 1 1 | 37.9 | 2.375 | 1000 |
| 3 0 0 | 38.9 | 2.315 | 580 |
| 1 1 2 | 39.4 | 2.289 | 972 |
| 2 2 2 | 56.6 | 1.627 | 278 |
| 4 1 0 | 61.1 | 1.516 | 391 |
| 4 0 2 | 63.1 | 1.474 | 273 |

Atomic structure:
```
data_Zr5Si3
_chemical_formula_sum 'Zr10 Si6'
_cell_length_a 8.018
_cell_length_b 8.018
_cell_length_c 5.575
_cell_angle_alpha 90.00
_cell_angle_beta 90.00
_cell_angle_gamma 120.00
_space_group_name_H-M_alt 'P 1'
_space_group_IT_number 1
loop_
_space_group_symop_operation_xyz
'x,y,z'
loop_
_atom_site_label
_atom_site_fract_x
_atom_site_fract_y
_atom_site_fract_z
Zr1 0.000 0.253 0.250
Zr2 0.000 0.747 0.750
Zr3 0.253 0.000 0.250
Zr4 0.253 0.253 0.750
Zr5 0.333 0.667 0.000
Zr6 0.333 0.667 0.500
Zr7 0.667 0.333 0.000
Zr8 0.667 0.333 0.500
Zr9 0.747 0.000 0.750
Zr10 0.747 0.747 0.250
Si1 0.000 0.390 0.750
Si2 0.000 0.610 0.250
Si3 0.390 0.000 0.750
Si4 0.390 0.390 0.250
Si5 0.610 0.000 0.250
Si6 0.610 0.610 0.750
```

---

# 7
Diffraction record for Zr5Si3. The XRD peak list is theoretical, not measured: it uses the PBE geometry in the Materials Project and CuKα.
Kinematic intensities with the Lorentz-polarization factor, no thermal factor.

Peak list (10 most intense, 2θ from 10° to 90°, sorted by position)
| (hkl) | 2theta | d/Å | intensity |
| --- | --- | --- | --- |
| 2 0 0 | 27.7 | 3.226 | 672 |
| 1 0 2 | 29.1 | 3.073 | 860 |
| 2 0 -1 | 29.9 | 2.989 | 753 |
| 0 1 2 | 34.8 | 2.579 | 734 |
| 2 1 0 | 36.9 | 2.439 | 734 |
| 1 1 -2 | 37.1 | 2.420 | 1000 |
| 1 1 2 | 38.0 | 2.370 | 751 |
| 2 1 -1 | 38.6 | 2.331 | 643 |
| 2 1 1 | 39.4 | 2.286 | 634 |
| 0 2 0 | 48.9 | 1.862 | 534 |

Atomic structure:
```
data_Zr5Si3
_chemical_formula_sum 'Zr5 Si3'
_cell_length_a 6.461
_cell_length_b 3.723
_cell_length_c 7.157
_cell_angle_alpha 90.00
_cell_angle_beta 92.40
_cell_angle_gamma 90.00
_space_group_name_H-M_alt 'P 1'
_space_group_IT_number 1
loop_
_space_group_symop_operation_xyz
'x,y,z'
loop_
_atom_site_label
_atom_site_fract_x
_atom_site_fract_y
_atom_site_fract_z
Zr1 0.000 0.000 0.000
Zr2 0.144 0.000 0.495
Zr3 0.396 0.500 0.848
Zr4 0.542 0.000 0.193
Zr5 0.689 0.000 0.623
Si1 0.222 0.500 0.199
Si2 0.452 0.500 0.464
Si3 0.984 0.500 0.727
```

---

# 8
Diffraction record for Zr3Si2. The XRD peak list is theoretical, not measured: it uses the PBE geometry in the Materials Project and CuKα.
Kinematic intensities with the Lorentz-polarization factor, no thermal factor.

Peak list (10 most intense, 2θ from 10° to 90°, sorted by position)
| (hkl) | 2theta | d/Å | intensity |
| --- | --- | --- | --- |
| 2 1 0 | 28.0 | 3.192 | 320 |
| 1 1 1 | 29.9 | 2.984 | 313 |
| 2 0 1 | 34.9 | 2.569 | 802 |
| 2 2 0 | 35.6 | 2.523 | 223 |
| 2 1 1 | 37.2 | 2.417 | 1000 |
| 3 1 0 | 39.9 | 2.257 | 564 |
| 0 0 2 | 49.3 | 1.850 | 203 |
| 4 1 1 | 58.9 | 1.568 | 194 |
| 3 3 1 | 60.5 | 1.531 | 239 |
| 3 1 2 | 65.2 | 1.431 | 254 |

Atomic structure:
```
data_Zr3Si2
_chemical_formula_sum 'Zr6 Si4'
_cell_length_a 7.137
_cell_length_b 7.137
_cell_length_c 3.700
_cell_angle_alpha 90.00
_cell_angle_beta 90.00
_cell_angle_gamma 90.00
_space_group_name_H-M_alt 'P 1'
_space_group_IT_number 1
loop_
_space_group_symop_operation_xyz
'x,y,z'
loop_
_atom_site_label
_atom_site_fract_x
_atom_site_fract_y
_atom_site_fract_z
Zr1 0.000 0.000 0.000
Zr2 0.174 0.326 0.500
Zr3 0.326 0.826 0.500
Zr4 0.500 0.500 0.000
Zr5 0.674 0.174 0.500
Zr6 0.826 0.674 0.500
Si1 0.122 0.622 0.000
Si2 0.378 0.122 0.000
Si3 0.622 0.878 0.000
Si4 0.878 0.378 0.000
```

---

# 9
Diffraction record for Sm. The XRD peak list is theoretical, not measured: it uses the PBE geometry in the Materials Project and CuKα.
Kinematic intensities with the Lorentz-polarization factor, no thermal factor.

Peak list (10 most intense, 2θ from 10° to 90°, sorted by position)
| (hkl) | 2theta | d/Å | intensity |
| --- | --- | --- | --- |
| 1 0 0 | 28.0 | 3.188 | 235 |
| 0 0 2 | 30.6 | 2.925 | 250 |
| 1 0 1 | 32.0 | 2.800 | 1000 |
| 1 0 2 | 41.9 | 2.155 | 159 |
| 1 1 0 | 49.5 | 1.841 | 196 |
| 1 0 3 | 55.2 | 1.664 | 213 |
| 1 1 2 | 59.3 | 1.558 | 229 |
| 2 0 1 | 60.2 | 1.538 | 164 |
| 2 1 1 | 81.6 | 1.180 | 138 |
| 1 1 4 | 84.6 | 1.145 | 85 |

Atomic structure:
```
data_Sm
_chemical_formula_sum 'Sm2'
_cell_length_a 3.682
_cell_length_b 3.682
_cell_length_c 5.850
_cell_angle_alpha 90.00
_cell_angle_beta 90.00
_cell_angle_gamma 120.00
_space_group_name_H-M_alt 'P 1'
_space_group_IT_number 1
loop_
_space_group_symop_operation_xyz
'x,y,z'
loop_
_atom_site_label
_atom_site_fract_x
_atom_site_fract_y
_atom_site_fract_z
Sm1 0.333 0.667 0.250
Sm2 0.667 0.333 0.750
```

---

# 10
Diffraction record for Sm. The XRD peak list is theoretical, not measured: it uses the PBE geometry in the Materials Project and CuKα.
Kinematic intensities with the Lorentz-polarization factor, no thermal factor.

Peak list (10 most intense, 2θ from 10° to 90°, sorted by position)
| (hkl) | 2theta | d/Å | intensity |
| --- | --- | --- | --- |
| 1 0 1 | 29.3 | 3.053 | 427 |
| 0 0 4 | 30.4 | 2.937 | 342 |
| 1 0 2 | 32.2 | 2.784 | 1000 |
| 1 0 3 | 36.5 | 2.460 | 237 |
| 1 1 0 | 50.0 | 1.825 | 259 |
| 1 0 6 | 55.2 | 1.664 | 217 |
| 1 1 4 | 59.6 | 1.550 | 305 |
| 2 0 2 | 60.7 | 1.526 | 163 |
| 2 1 2 | 82.4 | 1.171 | 137 |
| 1 1 8 | 84.7 | 1.144 | 114 |

Atomic structure:
```
data_Sm
_chemical_formula_sum 'Sm4'
_cell_length_a 3.650
_cell_length_b 3.650
_cell_length_c 11.747
_cell_angle_alpha 90.00
_cell_angle_beta 90.00
_cell_angle_gamma 120.00
_space_group_name_H-M_alt 'P 1'
_space_group_IT_number 1
loop_
_space_group_symop_operation_xyz
'x,y,z'
loop_
_atom_site_label
_atom_site_fract_x
_atom_site_fract_y
_atom_site_fract_z
Sm1 0.000 0.000 0.000
Sm2 0.000 0.000 0.500
Sm3 0.333 0.667 0.250
Sm4 0.667 0.333 0.750
```

---

# 11
Diffraction record for Sm. The XRD peak list is theoretical, not measured: it uses the PBE geometry in the Materials Project and CuKα.
Kinematic intensities with the Lorentz-polarization factor, no thermal factor.

Peak list (10 most intense, 2θ from 10° to 90°, sorted by position)
| (hkl) | 2theta | d/Å | intensity |
| --- | --- | --- | --- |
| 1 0 1 | 28.4 | 3.148 | 363 |
| 0 0 9 | 30.5 | 2.932 | 499 |
| 1 0 4 | 31.3 | 2.858 | 1000 |
| 0 1 5 | 33.0 | 2.718 | 864 |
| 1 1 0 | 49.8 | 1.830 | 383 |
| 1 0 13 | 53.6 | 1.710 | 222 |
| 0 1 14 | 56.8 | 1.620 | 181 |
| 1 1 9 | 59.5 | 1.553 | 448 |
| 0 2 4 | 60.0 | 1.541 | 157 |
| 1 1 18 | 84.7 | 1.144 | 168 |

Atomic structure:
```
data_Sm
_chemical_formula_sum 'Sm9'
_cell_length_a 3.661
_cell_length_b 3.661
_cell_length_c 26.392
_cell_angle_alpha 90.00
_cell_angle_beta 90.00
_cell_angle_gamma 120.00
_space_group_name_H-M_alt 'P 1'
_space_group_IT_number 1
loop_
_space_group_symop_operation_xyz
'x,y,z'
loop_
_atom_site_label
_atom_site_fract_x
_atom_site_fract_y
_atom_site_fract_z
Sm1 0.000 0.000 0.000
Sm2 0.000 0.000 0.222
Sm3 0.000 0.000 0.778
Sm4 0.333 0.667 0.444
Sm5 0.333 0.667 0.667
Sm6 0.333 0.667 0.889
Sm7 0.667 0.333 0.111
Sm8 0.667 0.333 0.333
Sm9 0.667 0.333 0.556
```

---

# 12
Diffraction record for Sm. The XRD peak list is theoretical, not measured: it uses the PBE geometry in the Materials Project and CuKα.
Kinematic intensities with the Lorentz-polarization factor, no thermal factor.

Peak list (8 most intense, 2θ from 10° to 90°, sorted by position)
| (hkl) | 2theta | d/Å | intensity |
| --- | --- | --- | --- |
| 1 1 1 | 30.0 | 2.977 | 1000 |
| 2 0 0 | 34.8 | 2.578 | 507 |
| 2 2 0 | 50.0 | 1.823 | 363 |
| 3 1 1 | 59.5 | 1.555 | 433 |
| 2 2 2 | 62.4 | 1.488 | 125 |
| 4 0 0 | 73.5 | 1.289 | 58 |
| 3 3 1 | 81.4 | 1.183 | 177 |
| 4 2 0 | 83.9 | 1.153 | 165 |

Atomic structure:
```
data_Sm
_chemical_formula_sum 'Sm4'
_cell_length_a 5.156
_cell_length_b 5.156
_cell_length_c 5.156
_cell_angle_alpha 90.00
_cell_angle_beta 90.00
_cell_angle_gamma 90.00
_space_group_name_H-M_alt 'P 1'
_space_group_IT_number 1
loop_
_space_group_symop_operation_xyz
'x,y,z'
loop_
_atom_site_label
_atom_site_fract_x
_atom_site_fract_y
_atom_site_fract_z
Sm1 0.000 0.000 0.000
Sm2 0.000 0.500 0.500
Sm3 0.500 0.000 0.500
Sm4 0.500 0.500 0.000
```